(1)
Computed XRD peak list
Compound: Ac5Np2S12
Radiation: copper Kα
Structure: a DFT-relaxed cell (PBE, Alexandria)
Neutral-atom scattering factors, no anomalous dispersion.

Structural model:
```
data_Ac5Np2S12
_cell_length_a 16.2016
_cell_length_b 7.7267
_cell_length_c 9.4666
_cell_angle_alpha 90.00
_cell_angle_beta 107.39
_cell_angle_gamma 90.00
_symmetry_space_group_name_H-M 'C 1 2/m 1'
_symmetry_Int_Tables_number 12
_symmetry_space_group_name_Hall '-C 2y'
loop_
_atom_site_label
_atom_site_fract_x
_atom_site_fract_y
_atom_site_fract_z
Ac1 0.0000 0.0000 0.0000
Ac2 0.1901 0.5000 0.3288
Ac3 0.2005 0.5000 0.8609
Np1 0.0000 0.2491 0.5000
S1 0.0000 0.0000 0.3133
S2 0.0018 0.5000 0.6971
S3 0.1511 0.2507 0.0718
S4 0.1675 0.2662 0.5837
```

Peak list (10 most intense, 2θ = 5–70°, by intensity)
2theta, I (rel.)
22.0, 100
20.7, 97
30.4, 47
34.8, 42
25.1, 35
23.0, 35
38.0, 34
25.5, 33
25.6, 32
41.9, 27

---

(2)
Computed XRD peak list
Compound: Ac2NpS5
Radiation: copper Kα
Structure: a DFT-relaxed cell (PBE, Alexandria)
Neutral-atom scattering factors, no anomalous dispersion.

Structural model:
```
data_Ac2NpS5
_cell_length_a 12.1949
_cell_length_b 8.4622
_cell_length_c 7.7304
_cell_angle_alpha 90.00
_cell_angle_beta 90.00
_cell_angle_gamma 90.00
_symmetry_space_group_name_H-M 'P n m a'
_symmetry_Int_Tables_number 62
_symmetry_space_group_name_Hall '-P 2ac 2n'
loop_
_atom_site_label
_atom_site_fract_x
_atom_site_fract_y
_atom_site_fract_z
Ac1 0.1725 0.0023 0.0429
Np1 0.0040 0.2500 0.5513
S1 0.0026 0.2500 0.9449
S2 0.0839 0.5315 0.6675
S3 0.1907 0.2500 0.3466
S4 0.2090 0.7500 0.3265
```

Peak list (10 most intense, 2θ = 5–70°, by intensity)
2theta, I (rel.)
24.7, 100
25.1, 79
34.7, 55
25.6, 50
23.0, 48
44.4, 35
50.0, 32
36.3, 25
32.2, 24
42.7, 24

---

(3)
Computed XRD peak list
Compound: Ac3NpS7
Radiation: copper Kα
Structure: a DFT-relaxed cell (PBE, Alexandria)
Neutral-atom scattering factors, no anomalous dispersion.

Structural model:
```
data_Ac3NpS7
_cell_length_a 13.8144
_cell_length_b 9.2016
_cell_length_c 9.7699
_cell_angle_alpha 90.00
_cell_angle_beta 90.00
_cell_angle_gamma 90.00
_symmetry_space_group_name_H-M 'C m c m'
_symmetry_Int_Tables_number 63
_symmetry_space_group_name_Hall '-C 2c 2'
loop_
_atom_site_label
_atom_site_fract_x
_atom_site_fract_y
_atom_site_fract_z
Ac1 0.0000 0.0000 0.0000
Ac2 0.2168 0.3092 0.2500
Np1 0.0000 0.5000 0.0000
S1 0.0000 0.4057 0.2500
S2 0.1288 0.0253 0.2500
S3 0.1302 0.3026 0.5404
```

Peak list (10 most intense, 2θ = 5–70°, by intensity)
2theta, I (rel.)
22.3, 100
23.2, 80
37.4, 54
44.0, 39
26.6, 35
35.1, 30
36.8, 24
45.5, 23
25.8, 17
33.7, 15